Li5Mn2CoO8: theoretical powder XRD pattern (copper Kα), based on a crystal structure in Alexandria, relaxed with GGA+U.
Lines closer than 0.1° are merged.

Cell lengths 4.966, 5.856, 5.070 Å; angles 90.00, 108.69, 90.00 degrees
Space group P2 (No. 3)
Symmetry-distinct sites (fractional):
Li (0.000, 0.000, 0.000)
Li (0.000, 0.230, 0.500)
Li (0.000, 0.468, 0.000)
Li (0.500, 0.230, 0.000)
Li (0.500, 0.731, 0.000)
Mn (0.000, 0.728, 0.500)
Mn (0.500, 0.472, 0.500)
Co (0.500, 0.986, 0.500)
O (0.248, 0.719, 0.274)
O (0.250, 0.496, 0.721)
O (0.254, 0.963, 0.718)
O (0.275, 0.243, 0.263)

Top 8 peaks for 2θ = 15–90°, most intense first:
Position (°2θ), Rel. int.
18.5, 100.0
43.8, 62.7
63.6, 32.4
44.5, 29.3
36.1, 26.8
64.7, 15.8
15.1, 13.2
24.3, 11.9